Sr4CaMn2S2O6: simulated X-ray powder pattern (copper Kα), based on a GGA+U-relaxed structure.
Peak positions follow from Bragg's law for the DFT cell and can differ from measured ones.

```
data_Sr4CaMn2S2O6
_chemical_formula_sum 'Sr4 Ca1 Mn2 S2 O6'
_symmetry_space_group_name_H-M 'P 1'
_symmetry_Int_Tables_number 1
_symmetry_space_group_name_Hall 'P 1'
_cell_length_a 3.9155
_cell_length_b 3.9155
_cell_length_c 17.0007
_cell_angle_alpha 90.00
_cell_angle_beta 90.00
_cell_angle_gamma 90.00
loop_
_atom_site_label
_atom_site_type_symbol
_atom_site_fract_x
_atom_site_fract_y
_atom_site_fract_z
_atom_site_occupancy
Sr1 Sr 0.0000 0.5000 0.0795 1
Sr2 Sr 0.0000 0.5000 0.2979 1
Sr3 Sr 0.5000 0.0000 0.7021 1
Sr4 Sr 0.5000 0.0000 0.9205 1
Ca1 Ca 0.5000 0.5000 0.5000 1
Mn1 Mn 0.0000 0.5000 0.8160 1
Mn2 Mn 0.5000 0.0000 0.1840 1
S1 S 0.0000 0.5000 0.6107 1
S2 S 0.5000 0.0000 0.3893 1
O1 O 0.0000 0.0000 0.2012 1
O2 O 0.0000 0.0000 0.7988 1
O3 O 0.0000 0.5000 0.9354 1
O4 O 0.5000 0.0000 0.0646 1
O5 O 0.5000 0.5000 0.2015 1
O6 O 0.5000 0.5000 0.7985 1
```

Peak list (10 most intense, 2θ = 5–70°, low angle first)
index	2theta	intensity
0 0 1	5.2	81
0 0 2	10.4	20
1 0 4	31.1	100
1 1 0	32.3	51
1 1 3	36.1	12
1 0 6	39.2	24
2 0 0	46.4	38
1 1 8	54.4	12
2 1 4	56.9	35
2 1 6	62.3	11